# 1
Starting from a crystal structure in Alexandria, relaxed with PBE, the PXRD pattern of Dy2UNbN4 was computed for λ = 1.5418 Å (Cu Kα).
No peak broadening, texture or thermal motion is included.

Peak list (12 most intense, 2θ from 5° to 70°, by angle)
- d = 2.773 Å, rel. 51
- d = 2.748 Å, rel. 100
- d = 2.711 Å, rel. 48
- d = 2.386 Å, rel. 95
- d = 2.360 Å, rel. 46
- d = 1.691 Å, rel. 49
- d = 1.684 Å, rel. 16
- d = 1.664 Å, rel. 31
- d = 1.444 Å, rel. 30
- d = 1.434 Å, rel. 15
- d = 1.427 Å, rel. 29
- d = 1.374 Å, rel. 16

Crystal structure
```
data_Dy2UNbN4
_cell_length_a 5.735
_cell_length_b 3.380
_cell_length_c 5.865
_cell_angle_alpha 90.00
_cell_angle_beta 108.98
_cell_angle_gamma 90.00
_space_group_name_H-M_alt 'P 1 2/m 1'
_space_group_IT_number 10
loop_
_space_group_symop_operation_xyz
'x,y,z'
'-x,-y,-z'
'-x,y,-z'
'x,-y,z'
loop_
_atom_site_label
_atom_site_fract_x
_atom_site_fract_y
_atom_site_fract_z
Dy1 0.000 0.000 0.000
Dy2 0.500 0.500 0.000
U1 0.000 0.500 0.500
Nb1 0.500 0.000 0.500
N1 0.245 0.000 0.733
N2 0.255 0.500 0.272
```

# 2
Starting from a crystal structure in Alexandria, relaxed with PBE, the PXRD pattern of CuAg2PdF8 was computed for λ = 1.5418 Å (Cu Kα).
No peak broadening, texture or thermal motion is included.

Peak list (12 most intense, 2θ from 5° to 70°, by angle)
- d = 3.215 Å, rel. 75
- d = 3.085 Å, rel. 100
- d = 2.720 Å, rel. 10
- d = 2.273 Å, rel. 12
- d = 2.100 Å, rel. 17
- d = 2.006 Å, rel. 5
- d = 1.830 Å, rel. 62
- d = 1.758 Å, rel. 24
- d = 1.607 Å, rel. 13
- d = 1.543 Å, rel. 9
- d = 1.438 Å, rel. 10
- d = 1.425 Å, rel. 17

Crystal structure
```
data_CuAg2PdF8
_cell_length_a 6.429
_cell_length_b 6.429
_cell_length_c 8.401
_cell_angle_alpha 90.00
_cell_angle_beta 90.00
_cell_angle_gamma 90.00
_space_group_name_H-M_alt 'I -4 m 2'
_space_group_IT_number 119
_space_group_name_Hall 'I -4 -2'
loop_
_atom_site_label
_atom_site_fract_x
_atom_site_fract_y
_atom_site_fract_z
Cu1 0.000 0.000 0.000
Ag1 0.000 0.000 0.500
Ag2 0.000 0.500 0.250
Pd1 0.000 0.500 0.750
F1 0.000 0.195 0.727
F2 0.000 0.287 0.031
```

Q: Which formula does entry 2 have?
A: CuAg2PdF8